1.
Starting from a structure optimized by DFT (GGA-PBE), the powder XRD pattern of MgH2Se2O6 was calculated for a wavelength of 1.5418 Å.
Lines closer than 0.1° are merged.

Crystal structure
abc: 5.6620 5.3022 10.7671
angles: 90.00 121.04 90.00
Space group P2_1/c (No. 14)
Unique sites:
Mg (0.0000, 0.0000, 0.0000) (multiplicity 2)
H (0.2993, 0.0382, 0.5299) (multiplicity 4)
Se (0.3166, 0.6812, 0.3353) (multiplicity 4)
O (0.1619, 0.5797, 0.7177) (multiplicity 4)
O (0.2556, 0.7485, 0.9725) (multiplicity 4)
O (0.3193, 0.2157, 0.5716) (multiplicity 4)

Largest 6 diffraction maxima, in order of falling intensity, 5 to 70 degrees two-theta:
| 2theta | d/Å | Rel. int. |
| --- | --- | --- |
| 25.60 | 3.480 | 100 |
| 24.88 | 3.579 | 95 |
| 25.02 | 3.558 | 71 |
| 33.32 | 2.689 | 34 |
| 19.30 | 4.598 | 26 |
| 54.40 | 1.686 | 26 |

---

2.
Starting from a structure optimized by DFT (GGA-PBE), the powder XRD pattern of BaGaBrCl4 was calculated for a wavelength of 1.5418 Å.
Lines closer than 0.1° are merged.

Crystal structure
abc: 12.2942 9.9828 8.9150
angles: 90.00 104.34 90.00
Space group C2/m (No. 12)
Unique sites:
Ba (0.1991, 0.0000, 0.1186) (multiplicity 4)
Ga (0.1422, 0.5000, 0.2661) (multiplicity 4)
Br (0.0309, 0.0000, 0.7942) (multiplicity 4)
Cl (0.0303, 0.5000, 0.7091) (multiplicity 4)
Cl (0.1686, 0.3282, 0.1171) (multiplicity 8)
Cl (0.2345, 0.0000, 0.5121) (multiplicity 4)

Largest 6 diffraction maxima, in order of falling intensity, 5 to 70 degrees two-theta:
| 2theta | d/Å | Rel. int. |
| --- | --- | --- |
| 17.77 | 4.991 | 100 |
| 10.24 | 8.637 | 48 |
| 35.03 | 2.561 | 40 |
| 35.99 | 2.495 | 32 |
| 27.96 | 3.191 | 30 |
| 33.69 | 2.660 | 25 |

---

3.
Starting from a structure optimized by DFT (GGA-PBE), the powder XRD pattern of NaLi2Ni3H8 was calculated for a wavelength of 1.5418 Å.
Lines closer than 0.1° are merged.

Crystal structure
abc: 5.3216 5.3216 13.7690
angles: 90.00 90.00 120.00
Space group R3m (No. 160, hexagonal axes)
Unique sites:
Na (0.0000, 0.0000, 0.0000) (multiplicity 3)
Li (0.0000, 0.0000, 0.2352) (multiplicity 3)
Li (0.0000, 0.0000, 0.6310) (multiplicity 3)
Ni (0.0026, 0.5013, 0.1304) (multiplicity 9)
H (0.0000, 0.0000, 0.3964) (multiplicity 3)
H (0.0000, 0.0000, 0.8520) (multiplicity 3)
H (0.0517, 0.5259, 0.4068) (multiplicity 9)
H (0.1891, 0.3782, 0.1926) (multiplicity 9)

Largest 6 diffraction maxima, in order of falling intensity, 5 to 70 degrees two-theta:
| 2theta | d/Å | Rel. int. |
| --- | --- | --- |
| 19.34 | 4.590 | 100 |
| 39.66 | 2.273 | 66 |
| 41.32 | 2.185 | 49 |
| 47.48 | 1.915 | 28 |
| 39.13 | 2.302 | 26 |
| 23.23 | 3.830 | 26 |

---

Please write out number 1 again, unchanged.
Starting from a structure optimized by DFT (GGA-PBE), the powder XRD pattern of MgH2Se2O6 was calculated for a wavelength of 1.5418 Å.
Lines closer than 0.1° are merged.

Crystal structure
abc: 5.6620 5.3022 10.7671
angles: 90.00 121.04 90.00
Space group P2_1/c (No. 14)
Unique sites:
Mg (0.0000, 0.0000, 0.0000) (multiplicity 2)
H (0.2993, 0.0382, 0.5299) (multiplicity 4)
Se (0.3166, 0.6812, 0.3353) (multiplicity 4)
O (0.1619, 0.5797, 0.7177) (multiplicity 4)
O (0.2556, 0.7485, 0.9725) (multiplicity 4)
O (0.3193, 0.2157, 0.5716) (multiplicity 4)

Largest 6 diffraction maxima, in order of falling intensity, 5 to 70 degrees two-theta:
| 2theta | d/Å | Rel. int. |
| --- | --- | --- |
| 25.60 | 3.480 | 100 |
| 24.88 | 3.579 | 95 |
| 25.02 | 3.558 | 71 |
| 33.32 | 2.689 | 34 |
| 19.30 | 4.598 | 26 |
| 54.40 | 1.686 | 26 |